1.
This entry pairs a crystal structure of Cs2Tl5Bi2 with its theoretical powder X-ray diffraction pattern. Radiation: copper Kα. Structure: a cell relaxed with PBE.
Kinematic intensities with the Lorentz-polarization factor, no thermal factor.

Main lines, sorted by position (2θ = 10–80°):
- 10.58°, intensity 775, hkl 1 1 0
- 13.42°, intensity 469, hkl 0 1 1
- 25.83°, intensity 875, hkl 3 2 1
- 26.02°, intensity 490, hkl 3 1 2
- 30.50°, intensity 816, hkl 0 1 3
- 31.68°, intensity 352, hkl 2 3 1
- 32.55°, intensity 1000, hkl 6 1 1
- 35.42°, intensity 580, hkl 6 0 2
- 50.54°, intensity 272, hkl 8 3 1
- 59.35°, intensity 277, hkl 6 1 5

```
data_Cs2Tl5Bi2
_chemical_formula_sum 'Cs8 Tl20 Bi8'
_symmetry_space_group_name_H-M 'I m a 2'
_symmetry_Int_Tables_number 46
_cell_length_a 18.175
_cell_length_b 9.412
_cell_length_c 9.254
_cell_angle_alpha 90.00
_cell_angle_beta 90.00
_cell_angle_gamma 90.00
loop_
_symmetry_equiv_pos_as_xyz
'x,y,z'
'-x,-y,z'
'-x+1/2,y,z'
'x+1/2,-y,z'
'x+1/2,y+1/2,z+1/2'
'-x+1/2,-y+1/2,z+1/2'
'-x,y+1/2,z+1/2'
'x,-y+1/2,z+1/2'
loop_
_atom_site_label
_atom_site_type_symbol
_atom_site_fract_x
_atom_site_fract_y
_atom_site_fract_z
_atom_site_occupancy
Cs1 Cs 0.111 0.167 0.000 1
Tl1 Tl 0.079 0.623 0.827 1
Tl2 Tl 0.160 0.600 0.154 1
Tl3 Tl 0.250 0.664 0.457 1
Bi1 Bi 0.000 0.000 0.643 1
Bi2 Bi 0.250 0.009 0.359 1
```

***

2.
This entry pairs a crystal structure of CuPd6Au3 with its theoretical powder X-ray diffraction pattern. Radiation: copper Kα. Structure: a cell relaxed with PBE.
Kinematic intensities with the Lorentz-polarization factor, no thermal factor.

Main lines, sorted by position (2θ = 10–80°):
- 37.96°, intensity 256, hkl 0 2 2
- 38.45°, intensity 466, hkl 1 1 -3
- 38.92°, intensity 1000, hkl 0 0 10
- 39.86°, intensity 921, hkl 1 1 4
- 43.67°, intensity 560, hkl 1 1 -6
- 46.01°, intensity 312, hkl 1 1 7
- 46.47°, intensity 202, hkl 0 2 7
- 66.70°, intensity 209, hkl 1 3 1
- 68.37°, intensity 215, hkl 1 1 14
- 78.85°, intensity 212, hkl 2 0 -10

```
data_CuPd6Au3
_chemical_formula_sum 'Cu2 Pd12 Au6'
_symmetry_space_group_name_H-M 'P 1 21/c 1'
_symmetry_Int_Tables_number 14
_cell_length_a 2.851
_cell_length_b 4.843
_cell_length_c 23.155
_cell_angle_alpha 90.00
_cell_angle_beta 90.05
_cell_angle_gamma 90.00
loop_
_symmetry_equiv_pos_as_xyz
'x,y,z'
'-x,-y,-z'
'-x,y+1/2,-z+1/2'
'x,-y+1/2,z+1/2'
loop_
_atom_site_label
_atom_site_type_symbol
_atom_site_fract_x
_atom_site_fract_y
_atom_site_fract_z
_atom_site_occupancy
Cu1 Cu 0.000 0.000 0.000 1
Pd1 Pd 0.000 0.161 0.402 1
Pd2 Pd 0.000 0.186 0.696 1
Pd3 Pd 0.500 0.153 0.095 1
Au1 Au 0.500 0.000 0.500 1
Au2 Au 0.500 0.185 0.801 1
```

***

3.
This entry pairs a crystal structure of KMnAuSe2 with its theoretical powder X-ray diffraction pattern. Radiation: copper Kα. Structure: a cell relaxed with PBE.
Kinematic intensities with the Lorentz-polarization factor, no thermal factor.

Main lines, sorted by position (2θ = 10–80°):
- 12.48°, intensity 1000, hkl 1 0 0
- 25.98°, intensity 246, hkl 1 1 1
- 26.39°, intensity 335, hkl 1 0 -2
- 29.70°, intensity 327, hkl 2 1 0
- 30.82°, intensity 226, hkl 1 1 -2
- 34.05°, intensity 279, hkl 1 2 0
- 35.41°, intensity 320, hkl 2 1 -2
- 36.42°, intensity 296, hkl 1 1 2
- 40.74°, intensity 244, hkl 2 2 0
- 43.62°, intensity 196, hkl 3 1 -2

```
data_KMnAuSe2
_chemical_formula_sum 'K2 Mn2 Au2 Se4'
_symmetry_space_group_name_H-M 'P 1 2/c 1'
_symmetry_Int_Tables_number 13
_cell_length_a 7.364
_cell_length_b 5.671
_cell_length_c 6.898
_cell_angle_alpha 90.00
_cell_angle_beta 105.56
_cell_angle_gamma 90.00
loop_
_symmetry_equiv_pos_as_xyz
'x,y,z'
'-x,-y,-z'
'-x,y,-z+1/2'
'x,-y,z+1/2'
loop_
_atom_site_label
_atom_site_type_symbol
_atom_site_fract_x
_atom_site_fract_y
_atom_site_fract_z
_atom_site_occupancy
K1 K 0.000 0.194 0.250 1
Mn1 Mn 0.500 0.493 0.750 1
Au1 Au 0.500 0.000 0.000 1
Se1 Se 0.265 0.317 0.936 1
```

***

4.
This entry pairs a crystal structure of LaOsN3 with its theoretical powder X-ray diffraction pattern. Radiation: copper Kα. Structure: a cell relaxed with PBE.
Kinematic intensities with the Lorentz-polarization factor, no thermal factor.

Main lines, sorted by position (2θ = 10–80°):
- 12.86°, intensity 1000, hkl 0 0 1
- 14.61°, intensity 275, hkl 0 1 0
- 18.92°, intensity 427, hkl 0 1 -1
- 25.54°, intensity 399, hkl 1 0 1
- 28.09°, intensity 549, hkl -1 1 1
- 29.47°, intensity 341, hkl 0 2 0
- 31.37°, intensity 264, hkl 1 1 1
- 31.53°, intensity 312, hkl 0 2 -1
- 36.38°, intensity 331, hkl 1 -2 1
- 44.87°, intensity 227, hkl 2 -1 0

```
data_LaOsN3
_chemical_formula_sum 'La2 Os2 N6'
_symmetry_space_group_name_H-M 'P 1'
_symmetry_Int_Tables_number 1
_cell_length_a 4.124
_cell_length_b 6.127
_cell_length_c 6.897
_cell_angle_alpha 93.32
_cell_angle_beta 90.55
_cell_angle_gamma 97.57
loop_
_symmetry_equiv_pos_as_xyz
'x,y,z'
loop_
_atom_site_label
_atom_site_type_symbol
_atom_site_fract_x
_atom_site_fract_y
_atom_site_fract_z
_atom_site_occupancy
La1 La 0.000 0.000 0.000 1
La2 La 0.500 0.112 0.505 1
Os1 Os 0.087 0.460 0.852 1
Os2 Os 0.605 0.476 0.068 1
N1 N 0.029 0.268 0.642 1
N2 N 0.433 0.704 0.884 1
N3 N 0.485 0.880 0.791 1
N4 N 0.525 0.188 0.164 1
N5 N 0.813 0.669 0.261 1
N6 N 0.933 0.834 0.355 1
```

***

5.
This entry pairs a crystal structure of Li2As2S5 with its theoretical powder X-ray diffraction pattern. Radiation: copper Kα. Structure: a cell relaxed with PBE.
Kinematic intensities with the Lorentz-polarization factor, no thermal factor.

Main lines, sorted by position (2θ = 10–80°):
- 12.86°, intensity 407, hkl 2 0 0
- 14.63°, intensity 1000, hkl 0 0 1
- 18.20°, intensity 362, hkl 2 0 -1
- 19.66°, intensity 616, hkl 1 1 0
- 25.11°, intensity 369, hkl 1 1 1
- 25.88°, intensity 349, hkl 4 0 0
- 29.51°, intensity 363, hkl 0 0 2
- 37.65°, intensity 471, hkl 0 2 0
- 48.59°, intensity 370, hkl 1 1 -3
- 55.52°, intensity 353, hkl 6 2 0

```
data_Li2As2S5
_chemical_formula_sum 'Li4 As4 S10'
_symmetry_space_group_name_H-M 'C 1 2/m 1'
_symmetry_Int_Tables_number 12
_cell_length_a 13.888
_cell_length_b 4.779
_cell_length_c 6.106
_cell_angle_alpha 90.00
_cell_angle_beta 97.51
_cell_angle_gamma 90.00
loop_
_symmetry_equiv_pos_as_xyz
'x,y,z'
'-x,-y,-z'
'-x,y,-z'
'x,-y,z'
'x+1/2,y+1/2,z'
'-x+1/2,-y+1/2,-z'
'-x+1/2,y+1/2,-z'
'x+1/2,-y+1/2,z'
loop_
_atom_site_label
_atom_site_type_symbol
_atom_site_fract_x
_atom_site_fract_y
_atom_site_fract_z
_atom_site_occupancy
Li1 Li 0.170 0.000 0.436 1
As1 As 0.161 0.500 0.896 1
S1 S 0.000 0.500 0.000 1
S2 S 0.143 0.500 0.534 1
S3 S 0.157 0.000 0.009 1
```

***

6.
This entry pairs a crystal structure of MgZnAu with its theoretical powder X-ray diffraction pattern. Radiation: copper Kα. Structure: a cell relaxed with PBE.
Kinematic intensities with the Lorentz-polarization factor, no thermal factor.

Main lines, sorted by position (2θ = 10–80°):
- 20.94°, intensity 405, hkl 0 0 2
- 27.73°, intensity 771, hkl 1 1 1
- 35.88°, intensity 291, hkl 0 2 0
- 37.22°, intensity 355, hkl 2 0 0
- 40.59°, intensity 143, hkl 1 2 0
- 41.14°, intensity 1000, hkl 1 1 3
- 43.08°, intensity 133, hkl 2 0 2
- 52.66°, intensity 193, hkl 2 2 0
- 68.06°, intensity 117, hkl 1 3 3
- 69.77°, intensity 207, hkl 3 1 3

```
data_MgZnAu
_chemical_formula_sum 'Mg4 Zn4 Au4'
_symmetry_space_group_name_H-M 'A m a 2'
_symmetry_Int_Tables_number 40
_cell_length_a 4.832
_cell_length_b 5.006
_cell_length_c 8.487
_cell_angle_alpha 90.00
_cell_angle_beta 90.00
_cell_angle_gamma 90.00
loop_
_symmetry_equiv_pos_as_xyz
'x,y,z'
'-x,-y,z'
'-x+1/2,y,z'
'x+1/2,-y,z'
'x,y+1/2,z+1/2'
'-x,-y+1/2,z+1/2'
'-x+1/2,y+1/2,z+1/2'
'x+1/2,-y+1/2,z+1/2'
loop_
_atom_site_label
_atom_site_type_symbol
_atom_site_fract_x
_atom_site_fract_y
_atom_site_fract_z
_atom_site_occupancy
Mg1 Mg 0.250 0.209 0.000 1
Zn1 Zn 0.250 0.202 0.670 1
Au1 Au 0.250 0.210 0.336 1
```

***

Repeat the first record exactly.
This entry pairs a crystal structure of Cs2Tl5Bi2 with its theoretical powder X-ray diffraction pattern. Radiation: copper Kα. Structure: a cell relaxed with PBE.
Kinematic intensities with the Lorentz-polarization factor, no thermal factor.

Main lines, sorted by position (2θ = 10–80°):
- 10.58°, intensity 775, hkl 1 1 0
- 13.42°, intensity 469, hkl 0 1 1
- 25.83°, intensity 875, hkl 3 2 1
- 26.02°, intensity 490, hkl 3 1 2
- 30.50°, intensity 816, hkl 0 1 3
- 31.68°, intensity 352, hkl 2 3 1
- 32.55°, intensity 1000, hkl 6 1 1
- 35.42°, intensity 580, hkl 6 0 2
- 50.54°, intensity 272, hkl 8 3 1
- 59.35°, intensity 277, hkl 6 1 5

```
data_Cs2Tl5Bi2
_chemical_formula_sum 'Cs8 Tl20 Bi8'
_symmetry_space_group_name_H-M 'I m a 2'
_symmetry_Int_Tables_number 46
_cell_length_a 18.175
_cell_length_b 9.412
_cell_length_c 9.254
_cell_angle_alpha 90.00
_cell_angle_beta 90.00
_cell_angle_gamma 90.00
loop_
_symmetry_equiv_pos_as_xyz
'x,y,z'
'-x,-y,z'
'-x+1/2,y,z'
'x+1/2,-y,z'
'x+1/2,y+1/2,z+1/2'
'-x+1/2,-y+1/2,z+1/2'
'-x,y+1/2,z+1/2'
'x,-y+1/2,z+1/2'
loop_
_atom_site_label
_atom_site_type_symbol
_atom_site_fract_x
_atom_site_fract_y
_atom_site_fract_z
_atom_site_occupancy
Cs1 Cs 0.111 0.167 0.000 1
Tl1 Tl 0.079 0.623 0.827 1
Tl2 Tl 0.160 0.600 0.154 1
Tl3 Tl 0.250 0.664 0.457 1
Bi1 Bi 0.000 0.000 0.643 1
Bi2 Bi 0.250 0.009 0.359 1
```